# 1
# Pr2NdY2Tm2
Calculated X-ray diffraction stick pattern, Cu Ka. Input: a structure optimized by DFT (GGA-PBE).
Lines closer than 0.1° are merged.

Largest 10 diffraction maxima, low angle first, 10 to 80 degrees two-theta:
2θ/deg	d_spacing	I/Imax
28.3	3.150	54.8
30.4	2.944	70.2
30.6	2.922	84.3
32.2	2.780	100.0
32.7	2.742	56.7
35.1	2.558	77.9
37.8	2.378	27.8
51.1	1.788	38.8
53.5	1.714	24.1
61.1	1.516	41.5

Atomic structure:
a = 11.8103 Å, b = 3.5385 Å, c = 11.9064 Å
α = 90.00°, β = 108.64°, γ = 90.00°
Space group C2/m (No. 12)
Symmetry-distinct sites (fractional):
Pr (0.1721, 0.0000, 0.0852)
Nd (0.0000, 0.5000, 0.5000)
Y (0.0477, 0.0000, 0.7706)
Tm (0.2271, 0.5000, 0.3653)


# 2
# ZnBiI5
Calculated X-ray diffraction stick pattern, Cu Ka. Input: a structure optimized by DFT (GGA-PBE).
Lines closer than 0.1° are merged.

Largest 10 diffraction maxima, low angle first, 10 to 80 degrees two-theta:
2θ/deg	d_spacing	I/Imax
11.8	7.517	34.1
17.1	5.185	100.0
17.8	4.986	73.9
25.0	3.561	42.5
28.0	3.190	88.7
30.7	2.909	44.0
31.0	2.885	32.9
35.8	2.506	43.0
36.2	2.483	59.4
44.7	2.029	34.4

Atomic structure:
a = 11.5660 Å, b = 11.4274 Å, c = 11.5310 Å
α = 90.00°, β = 119.49°, γ = 90.00°
Space group C2/c (No. 15)
Symmetry-distinct sites (fractional):
Zn (0.0000, 0.1218, 0.2500)
Bi (0.2500, 0.2500, 0.0000)
I (0.0000, 0.3481, 0.7500)
I (0.1081, 0.2878, 0.1671)
I (0.1827, 0.0169, 0.4639)


# 3
# InMoP2
Calculated X-ray diffraction stick pattern, Cu Ka. Input: a structure optimized by DFT (GGA-PBE).
Lines closer than 0.1° are merged.

Largest 10 diffraction maxima, low angle first, 10 to 80 degrees two-theta:
2θ/deg	d_spacing	I/Imax
24.5	3.626	72.0
28.7	3.109	38.1
28.8	3.097	37.9
37.5	2.401	50.7
38.1	2.360	100.0
38.9	2.312	48.5
41.1	2.194	92.5
47.9	1.900	25.0
49.1	1.856	21.0
59.0	1.566	19.7

Atomic structure:
a = 3.0997 Å, b = 3.1094 Å, c = 7.2580 Å
α = 90.00°, β = 92.17°, γ = 90.00°
Space group P2/m (No. 10)
Symmetry-distinct sites (fractional):
In (0.0000, 0.0000, 0.0000)
Mo (0.0000, 0.0000, 0.5000)
P (0.4843, 0.5000, 0.3158)


# 4
# Ga3CuNi7
Calculated X-ray diffraction stick pattern, Cu Ka. Input: a structure optimized by DFT (GGA-PBE).
Lines closer than 0.1° are merged.

Largest 10 diffraction maxima, low angle first, 10 to 80 degrees two-theta:
2θ/deg	d_spacing	I/Imax
24.6	3.615	19.9
32.6	2.750	22.8
39.4	2.286	58.0
42.7	2.119	71.4
45.0	2.016	100.0
45.2	2.005	13.5
47.1	1.928	16.2
48.5	1.875	21.4
50.4	1.812	45.1
59.5	1.554	31.3

Atomic structure:
a = 8.0208 Å, b = 8.4749 Å, c = 4.6335 Å
α = 90.00°, β = 115.49°, γ = 90.00°
Space group C2/m (No. 12)
Symmetry-distinct sites (fractional):
Ga (0.0000, 0.0000, 0.0000)
Ga (0.0000, 0.2228, 0.5000)
Cu (0.0000, 0.5000, 0.0000)
Ni (0.0000, 0.5000, 0.5000)
Ni (0.1711, 0.2443, 0.1778)
Ni (0.2017, 0.0000, 0.5482)


# 5
# SrAcPtCl
Calculated X-ray diffraction stick pattern, Cu Ka. Input: a structure optimized by DFT (GGA-PBE).
Lines closer than 0.1° are merged.

Largest 10 diffraction maxima, low angle first, 10 to 80 degrees two-theta:
2θ/deg	d_spacing	I/Imax
11.0	8.035	90.6
24.7	3.600	57.8
30.1	2.971	100.0
35.3	2.543	29.3
38.2	2.354	13.7
41.5	2.178	44.3
43.0	2.102	21.9
44.6	2.031	30.1
52.1	1.757	21.8
68.6	1.367	19.2

Atomic structure:
a = 7.5439 Å, b = 4.3564 Å, c = 8.4162 Å
α = 90.00°, β = 107.31°, γ = 90.00°
Space group Cm (No. 8)
Symmetry-distinct sites (fractional):
Sr (0.0000, 0.0000, 0.0000)
Ac (0.1952, 0.0000, 0.5842)
Pt (0.0929, 0.5000, 0.7778)
Cl (0.2674, 0.5000, 0.2997)


# 6
# HoPu2RhN4
Calculated X-ray diffraction stick pattern, Cu Ka. Input: a structure optimized by DFT (GGA-PBE).
Lines closer than 0.1° are merged.

Largest 10 diffraction maxima, low angle first, 10 to 80 degrees two-theta:
2θ/deg	d_spacing	I/Imax
27.8	3.214	91.9
30.7	2.917	21.4
31.4	2.852	68.6
31.7	2.820	100.0
36.2	2.481	25.0
39.0	2.311	83.1
41.8	2.160	28.8
48.2	1.890	28.1
50.9	1.795	25.0
53.6	1.711	22.4

Atomic structure:
a = 3.3579 Å, b = 11.4071 Å, c = 11.6667 Å
α = 90.00°, β = 90.00°, γ = 90.00°
Space group Cmcm (No. 63)
Symmetry-distinct sites (fractional):
Ho (0.0000, 0.1147, 0.2500)
Pu (0.0000, 0.3709, 0.0548)
Rh (0.0000, 0.1469, 0.7500)
N (0.0000, 0.0000, 0.0000)
N (0.0000, 0.2722, 0.6124)
N (0.0000, 0.4648, 0.2500)


# 7
# Li2OsPb3O6
Calculated X-ray diffraction stick pattern, Cu Ka. Input: a structure optimized by DFT (GGA-PBE).
Lines closer than 0.1° are merged.

Largest 10 diffraction maxima, low angle first, 10 to 80 degrees two-theta:
2θ/deg	d_spacing	I/Imax
13.9	6.391	37.3
17.7	5.023	26.0
22.5	3.949	48.4
30.8	2.900	100.0
33.2	2.696	70.4
38.5	2.337	24.7
42.1	2.147	24.6
46.0	1.975	39.8
54.8	1.674	20.8
56.4	1.632	32.9

Atomic structure:
a = 5.7998 Å, b = 5.7998 Å, c = 6.3908 Å
α = 90.00°, β = 90.00°, γ = 120.00°
Space group P-3m1 (No. 164)
Symmetry-distinct sites (fractional):
Li (0.3333, 0.6667, 0.1933)
Os (0.0000, 0.0000, 0.5000)
Pb (0.0000, 0.0000, 0.0000)
Pb (0.3333, 0.6667, 0.6230)
O (0.1636, 0.3273, 0.3227)


# 8
# NiSbS
Calculated X-ray diffraction stick pattern, Cu Ka. Input: a structure optimized by DFT (GGA-PBE).
Lines closer than 0.1° are merged.

Largest 10 diffraction maxima, low angle first, 10 to 80 degrees two-theta:
2θ/deg	d_spacing	I/Imax
21.1	4.209	22.6
30.0	2.976	13.8
33.7	2.662	100.0
37.0	2.430	56.3
43.0	2.104	11.0
50.9	1.795	48.2
53.3	1.718	11.5
55.7	1.651	17.0
58.0	1.591	30.0
72.8	1.299	17.9

Atomic structure:
a = 5.9523 Å, b = 5.9523 Å, c = 5.9523 Å
α = 90.00°, β = 90.00°, γ = 90.00°
Space group P2_13 (No. 198)
Symmetry-distinct sites (fractional):
Ni (0.0197, 0.0197, 0.0197)
Sb (0.1294, 0.6294, 0.8706)
S (0.1193, 0.8807, 0.3807)


# 9
# Na4Mn3NiS8
Calculated X-ray diffraction stick pattern, Cu Ka. Input: a structure optimized by DFT (GGA-PBE).
Lines closer than 0.1° are merged.

Largest 10 diffraction maxima, low angle first, 10 to 80 degrees two-theta:
2θ/deg	d_spacing	I/Imax
13.6	6.511	54.8
34.3	2.615	100.0
43.7	2.073	15.2
47.4	1.917	28.0
51.1	1.788	31.7
53.1	1.724	7.8
60.1	1.540	7.6
63.0	1.476	14.6
72.3	1.307	7.1
79.7	1.203	6.5

Atomic structure:
a = 12.3889 Å, b = 7.1477 Å, c = 7.7136 Å
α = 90.00°, β = 122.43°, γ = 90.00°
Space group C2/m (No. 12)
Symmetry-distinct sites (fractional):
Na (0.0000, 0.0000, 0.0000)
Na (0.0000, 0.5000, 0.0000)
Na (0.2500, 0.2500, 0.0000)
Mn (0.0000, 0.0000, 0.5000)
Mn (0.2500, 0.2500, 0.5000)
Ni (0.0000, 0.5000, 0.5000)
S (0.0194, 0.2495, 0.3078)
S (0.2313, 0.5000, 0.6923)
S (0.2362, 0.0000, 0.7086)


# 10
# Zr6CCl14
Calculated X-ray diffraction stick pattern, Cu Ka. Input: a structure optimized by DFT (GGA-PBE).
Lines closer than 0.1° are merged.

Largest 10 diffraction maxima, low angle first, 10 to 80 degrees two-theta:
2θ/deg	d_spacing	I/Imax
11.9	7.440	100.0
12.3	7.173	8.0
25.0	3.558	11.9
31.4	2.850	7.6
32.3	2.767	8.8
35.9	2.501	11.8
36.8	2.445	29.6
38.3	2.352	13.3
40.7	2.216	7.4
48.9	1.862	11.0

Atomic structure:
a = 14.3468 Å, b = 13.0687 Å, c = 11.6613 Å
α = 90.00°, β = 90.00°, γ = 90.00°
Space group Cmce (No. 64)
Symmetry-distinct sites (fractional):
Zr (0.0000, 0.1438, 0.1042)
Zr (0.1148, 0.0676, 0.8824)
C (0.0000, 0.0000, 0.0000)
Cl (0.0000, 0.1544, 0.7379)
Cl (0.1224, 0.0883, 0.2476)
Cl (0.1235, 0.2371, 0.9896)
Cl (0.2486, 0.0000, 0.0000)
Cl (0.2500, 0.1448, 0.7500)


# 11
# Pm2Nd3Tm3
Calculated X-ray diffraction stick pattern, Cu Ka. Input: a structure optimized by DFT (GGA-PBE).
Lines closer than 0.1° are merged.

Largest 10 diffraction maxima, low angle first, 10 to 80 degrees two-theta:
2θ/deg	d_spacing	I/Imax
29.8	2.998	30.6
29.9	2.987	30.3
32.1	2.785	100.0
42.7	2.116	23.0
49.3	1.849	7.5
54.4	1.687	22.7
54.5	1.683	22.5
58.7	1.573	17.8
67.2	1.392	11.8
71.6	1.318	10.0

Atomic structure:
a = 5.9738 Å, b = 5.9950 Å, c = 14.7937 Å
α = 90.00°, β = 90.00°, γ = 90.00°
Space group Immm (No. 71)
Symmetry-distinct sites (fractional):
Pm (0.0000, 0.0000, 0.2457)
Nd (0.0000, 0.0000, 0.5000)
Nd (0.0000, 0.5000, 0.3725)
Tm (0.0000, 0.0000, 0.0000)
Tm (0.0000, 0.5000, 0.1224)


# 12
# Fe2Co15Ni2
Calculated X-ray diffraction stick pattern, Cu Ka. Input: a structure optimized by DFT (GGA-PBE).
Lines closer than 0.1° are merged.

Largest 10 diffraction maxima, low angle first, 10 to 80 degrees two-theta:
2θ/deg	d_spacing	I/Imax
14.7	6.019	11.3
22.2	4.006	8.7
38.9	2.313	22.2
39.5	2.281	15.7
44.9	2.018	22.7
45.2	2.005	100.0
45.7	1.985	24.3
50.7	1.802	15.5
50.9	1.794	50.5
74.9	1.268	9.0

Atomic structure:
a = 8.0113 Å, b = 8.0113 Å, c = 12.1051 Å
α = 90.00°, β = 90.00°, γ = 120.00°
Space group R-3m (No. 166, hexagonal axes)
Symmetry-distinct sites (fractional):
Fe (0.0000, 0.0000, 0.1823)
Co (0.0000, 0.3020, 0.5000)
Co (0.0000, 0.5000, 0.0000)
Co (0.0059, 0.5030, 0.6499)
Ni (0.0000, 0.0000, 0.3998)


Question: Which formula does entry 6 have?
Answer: HoPu2RhN4